This entry pairs a crystal structure of Fe5Co3O16 with its theoretical powder X-ray diffraction pattern. Radiation: Cu Kα. Structure: a DFT-relaxed cell (PBE+U, Alexandria).
Lines closer than 0.1° are merged.

Structure:
abc: 9.901 5.675 9.040
angles: 90.00 91.43 90.00
Space group Cm (No. 8)
Inequivalent atoms, fractional coordinates:
Fe  0.000  0.000  0.000
Fe  0.003  0.500  0.222
Fe  0.170  0.000  0.720
Fe  0.417  0.249  0.502
Co  0.167  0.500  0.504
Co  0.249  0.249  0.004
O  0.005  0.500  0.611
O  0.076  0.282  0.382
O  0.096  0.226  0.882
O  0.170  0.000  0.112
O  0.174  0.500  0.109
O  0.251  0.259  0.609
O  0.313  0.000  0.888
O  0.328  0.500  0.897
O  0.329  0.500  0.397
O  0.352  0.000  0.378
O  0.413  0.253  0.110
O  0.496  0.500  0.614

Main lines, low angle first (5° ≤ 2θ ≤ 70°):
d/Å	2theta	Rel. int.
4.518	19.65	100
4.387	20.24	24
4.346	20.43	45
4.299	20.66	61
2.436	36.90	21
2.403	37.43	34
2.383	37.76	25
2.369	37.98	34
2.150	42.03	24
1.918	47.40	24
1.895	48.02	24
1.426	65.44	32